1.
Calculated powder diffraction line list of PrDy5YTm2 for Cu Kα (weighted mean of Kα1 and Kα2), from a crystal structure in Alexandria, relaxed with GGA-PBE.

Largest 10 diffraction maxima, sorted by position, 2θ from 10° to 90°:
(hkl)  2theta  Rel. int.
0 6 1  28.17  17
1 1 3  30.27  39
2 0 0  31.99  39
1 5 2  32.36  100
0 0 4  33.85  13
2 6 1  43.14  11
0 6 5  51.15  11
3 5 2  57.25  20
1 11 3  59.73  13
2 6 5  61.62  13

Structure:
```
data_PrDy5YTm2
_chemical_formula_sum 'Pr4 Dy20 Y4 Tm8'
_space_group_name_H-M_alt 'C m c 21'
_space_group_IT_number 36
_space_group_name_Hall 'C 2c -2'
_cell_length_a 5.595
_cell_length_b 19.918
_cell_length_c 10.592
_cell_angle_alpha 90.00
_cell_angle_beta 90.00
_cell_angle_gamma 90.00
loop_
_atom_site_label
_atom_site_fract_x
_atom_site_fract_y
_atom_site_fract_z
Pr1 0.000 0.202 0.000
Dy1 0.000 0.017 0.015
Dy2 0.000 0.281 0.294
Dy3 0.000 0.300 0.696
Dy4 0.000 0.394 0.013
Dy5 0.000 0.478 0.726
Y1 0.000 0.414 0.441
Tm1 0.000 0.109 0.726
Tm2 0.000 0.113 0.307
```



2.
Calculated powder diffraction line list of PaGa4Cu6 for Cu Kα (weighted mean of Kα1 and Kα2), from a crystal structure in Alexandria, relaxed with GGA-PBE.

Largest 10 diffraction maxima, sorted by position, 2θ from 10° to 90°:
(hkl)  2theta  Rel. int.
1 0 1  26.76  18
1 1 1  34.26  54
2 0 1  37.50  100
2 1 0  39.85  47
0 0 2  45.22  30
3 0 1  51.14  25
2 2 0  53.00  23
3 1 1  60.35  20
2 1 2  61.84  25
2 2 2  72.18  18

Structure:
```
data_PaGa4Cu6
_chemical_formula_sum 'Pa1 Ga4 Cu6'
_space_group_name_H-M_alt 'P -6 m 2'
_space_group_IT_number 187
_space_group_name_Hall 'P -6 2'
_cell_length_a 6.9104
_cell_length_b 6.9104
_cell_length_c 4.0100
_cell_angle_alpha 90.00
_cell_angle_beta 90.00
_cell_angle_gamma 120.00
loop_
_atom_site_label
_atom_site_fract_x
_atom_site_fract_y
_atom_site_fract_z
Pa1 0.0000 0.0000 0.0000
Ga1 0.3333 0.6667 0.0000
Ga2 0.3904 0.1952 0.5000
Cu1 0.2078 0.4156 0.5000
Cu2 0.5395 0.0789 0.0000
```



3.
Calculated powder diffraction line list of Sm2Si5Ni3 for Cu Kα (weighted mean of Kα1 and Kα2), from a crystal structure in Alexandria, relaxed with GGA-PBE.

Largest 10 diffraction maxima, sorted by position, 2θ from 10° to 90°:
(hkl)  2theta  Rel. int.
1 2 1  24.00  43
0 0 2  31.29  23
0 4 0  31.71  21
3 2 1  35.76  100
2 0 2  36.53  52
2 4 0  36.90  49
0 4 2  45.14  56
5 2 1  52.61  27
3 2 3  58.63  23
3 6 1  59.14  21

Structure:
```
data_Sm2Si5Ni3
_chemical_formula_sum 'Sm8 Si20 Ni12'
_space_group_name_H-M_alt 'I b a m'
_space_group_IT_number 72
_space_group_name_Hall '-I 2 2c'
_cell_length_a 9.650
_cell_length_b 11.288
_cell_length_c 5.718
_cell_angle_alpha 90.00
_cell_angle_beta 90.00
_cell_angle_gamma 90.00
loop_
_atom_site_label
_atom_site_fract_x
_atom_site_fract_y
_atom_site_fract_z
Sm1 0.238 0.130 0.000
Si1 0.000 0.000 0.250
Si2 0.000 0.265 0.250
Si3 0.149 0.391 0.000
Ni1 0.000 0.500 0.250
Ni2 0.112 0.133 0.500
```



4.
Calculated powder diffraction line list of Pr2Pu4Sb3N2 for Cu Kα (weighted mean of Kα1 and Kα2), from a crystal structure in Alexandria, relaxed with GGA-PBE.

Largest 10 diffraction maxima, sorted by position, 2θ from 10° to 90°:
(hkl)  2theta  Rel. int.
0 0 4  13.45  16
0 0 8  27.10  15
1 1 2  27.97  37
1 1 4  30.39  21
1 1 6  34.08  100
2 0 0  38.74  43
2 0 10  52.52  13
2 2 0  55.94  15
2 0 12  57.79  13
3 1 6  67.15  32

Structure:
```
data_Pr2Pu4Sb3N2
_chemical_formula_sum 'Pr4 Pu8 Sb6 N4'
_space_group_name_H-M_alt 'I 4/m m m'
_space_group_IT_number 139
_space_group_name_Hall '-I 4 2'
_cell_length_a 4.649
_cell_length_b 4.649
_cell_length_c 26.326
_cell_angle_alpha 90.00
_cell_angle_beta 90.00
_cell_angle_gamma 90.00
loop_
_atom_site_label
_atom_site_fract_x
_atom_site_fract_y
_atom_site_fract_z
Pr1 0.000 0.000 0.196
Pu1 0.000 0.500 0.084
Sb1 0.000 0.000 0.323
Sb2 0.000 0.000 0.500
N1 0.000 0.000 0.102
```



5.
Calculated powder diffraction line list of MgTl6Te4 for Cu Kα (weighted mean of Kα1 and Kα2), from a crystal structure in Alexandria, relaxed with GGA-PBE.

Largest 10 diffraction maxima, sorted by position, 2θ from 10° to 90°:
(hkl)  2theta  Rel. int.
1 1 0  15.81  16
2 1 1  27.04  35
2 0 2  30.07  100
2 2 0  31.93  70
2 1 2  34.15  11
4 0 2  44.43  26
0 0 4  48.42  17
4 2 2  55.75  13
6 0 0  56.91  11
2 2 4  59.19  23

Structure:
```
data_MgTl6Te4
_chemical_formula_sum 'Mg2 Tl12 Te8'
_space_group_name_H-M_alt 'P 63 m c'
_space_group_IT_number 186
_space_group_name_Hall 'P 6c -2c'
_cell_length_a 11.2111
_cell_length_b 11.2111
_cell_length_c 7.5167
_cell_angle_alpha 90.00
_cell_angle_beta 90.00
_cell_angle_gamma 120.00
loop_
_atom_site_label
_atom_site_fract_x
_atom_site_fract_y
_atom_site_fract_z
Mg1 0.3333 0.6667 0.0000
Tl1 0.0467 0.5234 0.3654
Tl2 0.1570 0.3141 0.6667
Te1 0.1923 0.3845 0.1065
Te2 0.3333 0.6667 0.6227
```



6.
Calculated powder diffraction line list of ZnSn4O9 for Cu Kα (weighted mean of Kα1 and Kα2), from a crystal structure in Alexandria, relaxed with GGA-PBE.

Largest 10 diffraction maxima, sorted by position, 2θ from 10° to 90°:
(hkl)  2theta  Rel. int.
2 1 1  30.15  100
0 0 2  34.84  9
1 3 0  35.02  19
1 3 2  50.23  35
4 2 0  50.36  17
2 1 3  59.58  13
5 0 1  59.83  27
4 2 2  62.70  8
3 4 3  81.71  10
6 3 1  81.92  6

Structure:
```
data_ZnSn4O9
_chemical_formula_sum 'Zn2 Sn8 O18'
_space_group_name_H-M_alt 'P 4/n'
_space_group_IT_number 85
_cell_length_a 8.103
_cell_length_b 8.103
_cell_length_c 5.151
_cell_angle_alpha 90.00
_cell_angle_beta 90.00
_cell_angle_gamma 90.00
loop_
_space_group_symop_operation_xyz
'x,y,z'
'-x,-y,-z'
'-y+1/2,x,z'
'y+1/2,-x,-z'
'-x+1/2,-y+1/2,z'
'x+1/2,y+1/2,-z'
'y,-x+1/2,z'
'-y,x+1/2,-z'
loop_
_atom_site_label
_atom_site_fract_x
_atom_site_fract_y
_atom_site_fract_z
Zn1 0.250 0.250 0.231
Sn1 0.041 0.639 0.230
O1 0.002 0.167 0.518
O2 0.053 0.149 0.009
O3 0.250 0.750 0.000
```



7.
Calculated powder diffraction line list of Pr2BeGe4Ir3 for Cu Kα (weighted mean of Kα1 and Kα2), from a crystal structure in Alexandria, relaxed with GGA-PBE.

Largest 10 diffraction maxima, sorted by position, 2θ from 10° to 90°:
(hkl)  2theta  Rel. int.
1 0 2  27.23  32
1 1 0  29.54  35
1 0 3  33.70  100
1 1 2  34.50  89
2 0 0  42.27  82
1 1 4  46.63  32
1 0 5  49.56  39
2 1 3  55.12  49
2 2 0  61.32  27
2 1 5  67.13  31

Structure:
```
data_Pr2BeGe4Ir3
_chemical_formula_sum 'Pr2 Be1 Ge4 Ir3'
_space_group_name_H-M_alt 'P -4 m 2'
_space_group_IT_number 115
_space_group_name_Hall 'P -4 -2'
_cell_length_a 4.276
_cell_length_b 4.276
_cell_length_c 10.188
_cell_angle_alpha 90.00
_cell_angle_beta 90.00
_cell_angle_gamma 90.00
loop_
_atom_site_label
_atom_site_fract_x
_atom_site_fract_y
_atom_site_fract_z
Pr1 0.000 0.500 0.249
Be1 0.000 0.000 0.500
Ge1 0.000 0.000 0.000
Ge2 0.000 0.500 0.630
Ge3 0.500 0.500 0.000
Ir1 0.000 0.500 0.874
Ir2 0.500 0.500 0.500
```



8.
Calculated powder diffraction line list of ScP2S for Cu Kα (weighted mean of Kα1 and Kα2), from a crystal structure in Alexandria, relaxed with GGA-PBE.

Largest 10 diffraction maxima, sorted by position, 2θ from 10° to 90°:
(hkl)  2theta  Rel. int.
1 1 2  27.25  100
2 0 4  43.87  46
2 2 0  47.92  17
1 1 6  48.65  17
3 1 2  56.00  20
0 0 8  57.09  5
4 0 0  70.10  5
3 1 6  70.68  10
2 2 8  77.68  7
4 2 4  86.49  10

Structure:
```
data_ScP2S
_chemical_formula_sum 'Sc4 P8 S4'
_space_group_name_H-M_alt 'I -4 2 d'
_space_group_IT_number 122
_space_group_name_Hall 'I -4 2bw'
_cell_length_a 5.369
_cell_length_b 5.369
_cell_length_c 12.906
_cell_angle_alpha 90.00
_cell_angle_beta 90.00
_cell_angle_gamma 90.00
loop_
_atom_site_label
_atom_site_fract_x
_atom_site_fract_y
_atom_site_fract_z
Sc1 0.000 0.000 0.000
P1 0.212 0.250 0.625
S1 0.000 0.000 0.500
```